Calculated X-ray powder pattern
Compound: V3PtRh5
Radiation: Cu Kα, 1.54184 Å
Structure: a GGA-PBE-relaxed structure
Neutral-atom scattering factors, no anomalous dispersion.

Structural model:
a = 5.978 Å, b = 5.978 Å, c = 7.539 Å
α = 90.00°, β = 90.00°, γ = 90.00°
Fractional coordinates of all 18 atoms:
V1 0.000 0.000 0.000
V2 0.132 0.368 0.500
V3 0.368 0.868 0.500
V4 0.500 0.500 0.000
V5 0.632 0.132 0.500
V6 0.868 0.632 0.500
Pt1 0.000 0.500 0.000
Pt2 0.500 0.000 0.000
Rh1 0.000 0.000 0.500
Rh2 0.237 0.737 0.225
Rh3 0.237 0.737 0.775
Rh4 0.263 0.237 0.225
Rh5 0.263 0.237 0.775
Rh6 0.500 0.500 0.500
Rh7 0.737 0.763 0.225
Rh8 0.737 0.763 0.775
Rh9 0.763 0.263 0.225
Rh10 0.763 0.263 0.775

Peak list (10 most intense, 2θ from 10° to 90°, in order of rising 2θ)
Position (°2θ)	I (rel.)	index
24.14	25	1 1 1
38.44	100	2 0 2
42.78	39	2 2 0
47.26	11	2 0 3
48.29	15	0 0 4
49.72	16	3 1 1
62.11	10	4 0 0
66.47	17	2 2 4
75.46	27	4 2 2
83.45	10	2 0 6